This entry pairs a crystal structure of La2Pm4DyTh with its calculated X-ray diffraction stick pattern. Radiation: a wavelength of 1.5418 Å. Structure: a PBE-relaxed structure.

Structural model:
```
La2Pm4DyTh
1.0
6.0888 0.0000 0.0000
0.0000 6.0990 0.0000
-0.0115 0.0000 7.3828
La Pm Dy Th
2 4 1 1
direct
0.0000 0.0000 0.0000
0.5000 0.5000 0.5000
0.0000 0.5000 0.2452
0.0000 0.5000 0.7548
0.5002 0.0000 0.2457
0.4998 0.0000 0.7543
0.0000 0.0000 0.5000
0.5000 0.5000 0.0000
```

Largest 10 diffraction maxima, by angle, 5° ≤ 2θ ≤ 70°:
| 2θ/deg | d (Å) | I/Imax |
| --- | --- | --- |
| 29.3 | 3.047 | 625 |
| 31.9 | 2.803 | 1000 |
| 41.9 | 2.155 | 238 |
| 49.4 | 1.846 | 74 |
| 53.6 | 1.709 | 349 |
| 53.7 | 1.706 | 116 |
| 58.5 | 1.579 | 179 |
| 66.7 | 1.402 | 120 |
| 68.9 | 1.363 | 55 |
| 68.9 | 1.362 | 55 |

---

This entry pairs a crystal structure of La2Pm7DyTl2 with its calculated X-ray diffraction stick pattern. Radiation: a wavelength of 1.5418 Å. Structure: a PBE-relaxed structure.

Structural model:
```
La2Pm7DyTl2
1.0
3.4593 -3.5176 0.0000
3.4593 3.5176 0.0000
0.0000 0.0000 16.1817
La Pm Dy Tl
2 7 1 2
direct
0.0000 0.0000 0.1671
0.0000 0.0000 0.8329
0.0000 0.0000 0.5000
0.0000 0.5000 0.3346
0.0000 0.5000 0.6654
0.2758 0.7242 0.0000
0.5000 0.0000 0.3346
0.5000 0.0000 0.6654
0.7242 0.2758 0.0000
0.5000 0.5000 0.5000
0.5000 0.5000 0.1818
0.5000 0.5000 0.8182
```

Largest 10 diffraction maxima, by angle, 5° ≤ 2θ ≤ 70°:
| 2θ/deg | d (Å) | I/Imax |
| --- | --- | --- |
| 26.3 | 3.383 | 148 |
| 30.3 | 2.946 | 1000 |
| 30.7 | 2.912 | 457 |
| 33.2 | 2.697 | 380 |
| 36.4 | 2.466 | 305 |
| 38.1 | 2.359 | 139 |
| 50.1 | 1.820 | 223 |
| 57.6 | 1.601 | 154 |
| 61.6 | 1.505 | 139 |
| 62.2 | 1.492 | 260 |

---

This entry pairs a crystal structure of La5Pm2DyTm with its calculated X-ray diffraction stick pattern. Radiation: a wavelength of 1.5418 Å. Structure: a PBE-relaxed structure.

Structural model:
```
La5Pm2DyTm
1.0
-4.2765 4.2765 8.8372
4.2765 -4.2765 8.8372
4.2765 4.2765 -8.8372
La Pm Dy Tm
10 4 2 2
direct
0.0000 0.0000 0.0000
0.0786 0.5786 0.9426
0.1359 0.0786 0.5000
0.3641 0.8641 0.9426
0.4214 0.3641 0.5000
0.5000 0.5000 0.0000
0.5786 0.6359 0.5000
0.6359 0.1359 0.0574
0.8641 0.9214 0.5000
0.9214 0.4214 0.0574
0.1248 0.3752 0.5000
0.3752 0.8752 0.2503
0.6248 0.1248 0.7497
0.8752 0.6248 0.5000
0.2500 0.2500 0.0000
0.7500 0.7500 0.0000
0.2500 0.7500 0.5000
0.7500 0.2500 0.5000
```

Largest 10 diffraction maxima, by angle, 5° ≤ 2θ ≤ 70°:
| 2θ/deg | d (Å) | I/Imax |
| --- | --- | --- |
| 27.8 | 3.208 | 374 |
| 29.1 | 3.073 | 1000 |
| 29.5 | 3.024 | 496 |
| 34.7 | 2.586 | 114 |
| 37.1 | 2.426 | 157 |
| 38.3 | 2.351 | 108 |
| 40.8 | 2.209 | 141 |
| 43.5 | 2.078 | 129 |
| 51.2 | 1.784 | 142 |
| 52.1 | 1.755 | 301 |

---

Repeat the second record exactly.
This entry pairs a crystal structure of La2Pm7DyTl2 with its calculated X-ray diffraction stick pattern. Radiation: a wavelength of 1.5418 Å. Structure: a PBE-relaxed structure.

Structural model:
```
La2Pm7DyTl2
1.0
3.4593 -3.5176 0.0000
3.4593 3.5176 0.0000
0.0000 0.0000 16.1817
La Pm Dy Tl
2 7 1 2
direct
0.0000 0.0000 0.1671
0.0000 0.0000 0.8329
0.0000 0.0000 0.5000
0.0000 0.5000 0.3346
0.0000 0.5000 0.6654
0.2758 0.7242 0.0000
0.5000 0.0000 0.3346
0.5000 0.0000 0.6654
0.7242 0.2758 0.0000
0.5000 0.5000 0.5000
0.5000 0.5000 0.1818
0.5000 0.5000 0.8182
```

Largest 10 diffraction maxima, by angle, 5° ≤ 2θ ≤ 70°:
| 2θ/deg | d (Å) | I/Imax |
| --- | --- | --- |
| 26.3 | 3.383 | 148 |
| 30.3 | 2.946 | 1000 |
| 30.7 | 2.912 | 457 |
| 33.2 | 2.697 | 380 |
| 36.4 | 2.466 | 305 |
| 38.1 | 2.359 | 139 |
| 50.1 | 1.820 | 223 |
| 57.6 | 1.601 | 154 |
| 61.6 | 1.505 | 139 |
| 62.2 | 1.492 | 260 |